Computed XRD peak list of SrPrAl3O7 for Cu Kα (λ = 1.5418 Å), from a cell relaxed with GGA-PBE.
No peak broadening, texture or thermal motion is included.

Cell lengths 7.930, 7.930, 5.258 Å; angles 90.00, 90.00, 90.05 degrees
Fractional coordinates of all 24 atoms:
Sr: 0.161 0.839 0.000
Sr: 0.839 0.161 0.000
Pr: 0.337 0.337 0.978
Pr: 0.663 0.663 0.978
Al: 0.000 0.500 0.491
Al: 0.144 0.144 0.529
Al: 0.359 0.641 0.450
Al: 0.500 0.000 0.491
Al: 0.641 0.359 0.450
Al: 0.856 0.856 0.529
O: 0.000 0.000 0.656
O: 0.092 0.339 0.684
O: 0.151 0.151 0.198
O: 0.166 0.581 0.302
O: 0.339 0.092 0.684
O: 0.369 0.631 0.783
O: 0.419 0.834 0.302
O: 0.500 0.500 0.298
O: 0.581 0.166 0.302
O: 0.631 0.369 0.783
O: 0.661 0.908 0.684
O: 0.834 0.419 0.302
O: 0.849 0.849 0.198
O: 0.908 0.661 0.684

Most intense lines, 2θ = 15–90°, in order of rising 2θ:
2theta	I (rel.)
16.86	166
23.19	184
25.11	165
28.19	224
30.40	1000
35.81	160
42.82	238
50.29	192
58.77	148
65.87	143

Computed XRD peak list of RbAlO2 for Cu Kα (λ = 1.5418 Å), from a cell relaxed with GGA-PBE.
No peak broadening, texture or thermal motion is included.

Cell lengths 5.738, 5.738, 5.738 Å; angles 60.00, 60.00, 60.00 degrees
Fractional coordinates of all 8 atoms:
Rb: 0.125 0.125 0.125
Rb: 0.875 0.875 0.875
Al: 0.375 0.375 0.375
Al: 0.625 0.625 0.625
O: 0.000 0.500 0.500
O: 0.500 0.000 0.500
O: 0.500 0.500 0.000
O: 0.500 0.500 0.500

Most intense lines, 2θ = 15–90°, in order of rising 2θ:
2theta	I (rel.)
18.94	92
31.18	1000
36.73	337
44.67	95
48.93	31
55.48	373
59.16	99
65.02	174
73.86	160
77.07	32

Computed XRD peak list of Rb3AlO3 for Cu Kα (λ = 1.5418 Å), from a cell relaxed with GGA-PBE.
No peak broadening, texture or thermal motion is included.

Cell lengths 6.886, 6.886, 6.896 Å; angles 97.54, 97.54, 115.61 degrees
Fractional coordinates of all 14 atoms:
Rb: 0.200 0.800 0.000
Rb: 0.265 0.735 0.500
Rb: 0.371 0.371 0.154
Rb: 0.629 0.629 0.846
Rb: 0.735 0.265 0.500
Rb: 0.800 0.200 0.000
Al: 0.156 0.156 0.646
Al: 0.844 0.844 0.354
O: 0.100 0.100 0.369
O: 0.147 0.398 0.762
O: 0.398 0.147 0.762
O: 0.602 0.853 0.238
O: 0.853 0.602 0.238
O: 0.900 0.900 0.631

Most intense lines, 2θ = 15–90°, in order of rising 2θ:
2theta	I (rel.)
27.63	177
29.43	370
30.69	255
30.83	1000
35.53	410
37.81	190
41.39	204
53.92	179
54.51	201
57.36	196

Computed XRD peak list of RbAl11O17 for Cu Kα (λ = 1.5418 Å), from a cell relaxed with GGA-PBE.
No peak broadening, texture or thermal motion is included.

Cell lengths 5.655, 5.655, 23.053 Å; angles 90.00, 90.00, 120.00 degrees
Fractional coordinates of all 58 atoms:
Rb: 0.333 0.667 0.250
Rb: 0.667 0.333 0.750
Al: 0.000 0.000 0.000
Al: 0.000 0.000 0.500
Al: 0.167 0.335 0.106
Al: 0.167 0.335 0.394
Al: 0.167 0.833 0.106
Al: 0.167 0.833 0.394
Al: 0.333 0.667 0.525
Al: 0.333 0.667 0.675
Al: 0.333 0.667 0.825
Al: 0.333 0.667 0.975
Al: 0.335 0.167 0.606
Al: 0.335 0.167 0.894
Al: 0.665 0.833 0.106
Al: 0.665 0.833 0.394
Al: 0.667 0.333 0.025
Al: 0.667 0.333 0.175
Al: 0.667 0.333 0.325
Al: 0.667 0.333 0.475
Al: 0.833 0.167 0.606
Al: 0.833 0.167 0.894
Al: 0.833 0.665 0.606
Al: 0.833 0.665 0.894
O: 0.000 0.000 0.140
O: 0.000 0.000 0.360
O: 0.000 0.000 0.640
O: 0.000 0.000 0.860
O: 0.004 0.502 0.144
O: 0.004 0.502 0.356
O: 0.157 0.314 0.549
O: 0.157 0.314 0.951
O: 0.157 0.843 0.549
O: 0.157 0.843 0.951
O: 0.314 0.157 0.049
O: 0.314 0.157 0.451
O: 0.333 0.667 0.055
O: 0.333 0.667 0.445
O: 0.333 0.667 0.750
O: 0.498 0.502 0.144
O: 0.498 0.502 0.356
O: 0.498 0.996 0.144
O: 0.498 0.996 0.356
O: 0.502 0.004 0.644
O: 0.502 0.004 0.856
O: 0.502 0.498 0.644
O: 0.502 0.498 0.856
O: 0.667 0.333 0.250
O: 0.667 0.333 0.555
O: 0.667 0.333 0.945
O: 0.686 0.843 0.549
O: 0.686 0.843 0.951
O: 0.843 0.157 0.049
O: 0.843 0.157 0.451
O: 0.843 0.686 0.049
O: 0.843 0.686 0.451
O: 0.996 0.498 0.644
O: 0.996 0.498 0.856

Most intense lines, 2θ = 15–90°, in order of rising 2θ:
2theta	I (rel.)
19.70	688
31.65	492
32.77	1000
35.36	834
41.77	485
43.84	401
57.08	429
57.92	277
66.09	579
68.69	278